Calculated X-ray diffraction stick pattern of Ti2CdC for Cu Kα, from a crystal structure in Alexandria, relaxed with GGA-PBE.
Lines closer than 0.1° are merged.

Main lines, in order of rising 2θ (5 to 70 degrees two-theta):
index, 2θ/deg, intensity
0 0 2, 12.15, 16
1 0 0, 33.34, 20
1 0 1, 33.92, 16
0 0 6, 37.01, 22
1 0 3, 38.27, 100
1 0 6, 50.66, 16
1 1 0, 59.59, 18
1 0 9, 67.53, 16

Structure:
```
data_Ti2CdC
_cell_length_a 3.1031
_cell_length_b 3.1031
_cell_length_c 14.5746
_cell_angle_alpha 90.00
_cell_angle_beta 90.00
_cell_angle_gamma 120.00
_space_group_name_H-M_alt 'P 63/m m c'
_space_group_IT_number 194
_space_group_name_Hall '-P 6c 2c'
loop_
_atom_site_label
_atom_site_type_symbol
_atom_site_fract_x
_atom_site_fract_y
_atom_site_fract_z
Ti1 Ti 0.3333 0.6667 0.0773
Cd1 Cd 0.3333 0.6667 0.7500
C1 C 0.0000 0.0000 0.0000
```



Calculated X-ray diffraction stick pattern of Sm6RuPb3 for Cu Kα, from a crystal structure in Alexandria, relaxed with GGA-PBE.
Lines closer than 0.1° are merged.

Main lines, in order of rising 2θ (5 to 70 degrees two-theta):
index, 2θ/deg, intensity
1 1 2, 29.41, 53
1 2 -3, 29.70, 47
1 1 -4, 30.30, 60
0 2 3, 31.45, 45
2 1 -3, 31.70, 65
0 0 4, 32.36, 53
1 3 -1, 33.32, 100
1 3 0, 34.20, 37

Structure:
```
data_Sm6RuPb3
_cell_length_a 6.247
_cell_length_b 8.937
_cell_length_c 12.511
_cell_angle_alpha 90.00
_cell_angle_beta 117.80
_cell_angle_gamma 90.00
_space_group_name_H-M_alt 'P 1 21/c 1'
_space_group_IT_number 14
loop_
_space_group_symop_operation_xyz
'x,y,z'
'-x,-y,-z'
'-x,y+1/2,-z+1/2'
'x,-y+1/2,z+1/2'
loop_
_atom_site_label
_atom_site_type_symbol
_atom_site_fract_x
_atom_site_fract_y
_atom_site_fract_z
Sm1 Sm 0.058 0.155 0.441
Sm2 Sm 0.344 0.699 0.439
Sm3 Sm 0.399 0.045 0.269
Ru1 Ru 0.500 0.000 0.500
Pb1 Pb 0.000 0.000 0.000
Pb2 Pb 0.163 0.116 0.762
```



Calculated X-ray diffraction stick pattern of CeSmSn for Cu Kα, from a crystal structure in Alexandria, relaxed with GGA-PBE.
Lines closer than 0.1° are merged.

Main lines, in order of rising 2θ (5 to 70 degrees two-theta):
index, 2θ/deg, intensity
1 1 0, 32.41, 100
1 0 2, 33.15, 85
1 1 2, 42.83, 10
2 0 2, 47.04, 32
3 0 0, 57.82, 19
2 1 2, 58.29, 34
1 1 4, 66.36, 26
2 2 0, 67.86, 12

Structure:
```
data_CeSmSn
_cell_length_a 5.5242
_cell_length_b 5.5242
_cell_length_c 6.5503
_cell_angle_alpha 90.00
_cell_angle_beta 90.00
_cell_angle_gamma 120.00
_space_group_name_H-M_alt 'P 63/m m c'
_space_group_IT_number 194
_space_group_name_Hall '-P 6c 2c'
loop_
_atom_site_label
_atom_site_type_symbol
_atom_site_fract_x
_atom_site_fract_y
_atom_site_fract_z
Ce1 Ce 0.0000 0.0000 0.0000
Sm1 Sm 0.3333 0.6667 0.2500
Sn1 Sn 0.3333 0.6667 0.7500
```



Calculated X-ray diffraction stick pattern of Np3Br2O10 for Cu Kα, from a crystal structure in Alexandria, relaxed with GGA-PBE.
Lines closer than 0.1° are merged.

Main lines, in order of rising 2θ (5 to 70 degrees two-theta):
index, 2θ/deg, intensity
0 1 0, 9.03, 95
0 0 1, 9.41, 74
1 0 0, 13.49, 36
0 2 0, 18.11, 42
1 1 2, 19.82, 100
-1 1 1, 20.05, 79
0 3 0, 27.32, 60
0 2 3, 30.74, 38

Structure:
```
data_Np3Br2O10
_cell_length_a 6.941
_cell_length_b 10.007
_cell_length_c 10.130
_cell_angle_alpha 78.17
_cell_angle_beta 71.01
_cell_angle_gamma 86.37
_space_group_name_H-M_alt 'P -1'
_space_group_IT_number 2
loop_
_space_group_symop_operation_xyz
'x,y,z'
'-x,-y,-z'
loop_
_atom_site_label
_atom_site_type_symbol
_atom_site_fract_x
_atom_site_fract_y
_atom_site_fract_z
Np1 Np 0.061 0.169 0.421
Np2 Np 0.190 0.512 0.123
Np3 Np 0.251 0.519 0.502
Br1 Br 0.279 0.948 0.903
Br2 Br 0.361 0.151 0.739
O1 O 0.000 0.500 0.000
O2 O 0.031 0.363 0.504
O3 O 0.044 0.981 0.380
O4 O 0.135 0.486 0.703
O5 O 0.178 0.325 0.193
O6 O 0.193 0.695 0.071
O7 O 0.196 0.784 0.575
O8 O 0.323 0.152 0.408
O9 O 0.326 0.545 0.301
O10 O 0.464 0.378 0.518
O11 O 0.500 0.500 0.000
```



Calculated X-ray diffraction stick pattern of Tb6P2S3Cl for Cu Kα, from a crystal structure in Alexandria, relaxed with GGA-PBE.
Lines closer than 0.1° are merged.

Main lines, in order of rising 2θ (5 to 70 degrees two-theta):
index, 2θ/deg, intensity
2 0 2, 27.34, 19
3 1 0, 27.50, 62
1 1 -2, 31.82, 100
5 1 2, 45.51, 34
0 2 0, 45.72, 36
2 2 2, 54.09, 18
6 2 0, 56.78, 18
2 2 -4, 66.49, 10

Structure:
```
data_Tb6P2S3Cl
_cell_length_a 17.307
_cell_length_b 3.972
_cell_length_c 7.969
_cell_angle_alpha 90.00
_cell_angle_beta 102.89
_cell_angle_gamma 90.00
_space_group_name_H-M_alt 'C 1 2/m 1'
_space_group_IT_number 12
loop_
_space_group_symop_operation_xyz
'x,y,z'
'-x,-y,-z'
'-x,y,-z'
'x,-y,z'
'x+1/2,y+1/2,z'
'-x+1/2,-y+1/2,-z'
'-x+1/2,y+1/2,-z'
'x+1/2,-y+1/2,z'
loop_
_atom_site_label
_atom_site_type_symbol
_atom_site_fract_x
_atom_site_fract_y
_atom_site_fract_z
Tb1 Tb 0.003 0.000 0.276
Tb2 Tb 0.169 0.500 0.580
Tb3 Tb 0.177 0.500 0.096
P1 P 0.165 0.000 0.330
S1 S 0.000 0.500 0.500
S2 S 0.161 0.000 0.835
Cl1 Cl 0.000 0.500 0.000
```



Calculated X-ray diffraction stick pattern of KRbPS2 for Cu Kα, from a crystal structure in Alexandria, relaxed with GGA-PBE.
Lines closer than 0.1° are merged.

Main lines, in order of rising 2θ (5 to 70 degrees two-theta):
index, 2θ/deg, intensity
0 1 1, 20.01, 25
1 0 -2, 20.71, 32
1 1 1, 24.59, 100
1 1 -2, 27.14, 23
2 0 -2, 27.59, 36
1 1 -3, 34.51, 34
1 2 0, 37.25, 27
3 1 -1, 39.91, 25

Structure:
```
data_KRbPS2
_cell_length_a 7.562
_cell_length_b 5.111
_cell_length_c 9.199
_cell_angle_alpha 90.00
_cell_angle_beta 103.42
_cell_angle_gamma 90.00
_space_group_name_H-M_alt 'P 1 2/c 1'
_space_group_IT_number 13
loop_
_space_group_symop_operation_xyz
'x,y,z'
'-x,-y,-z'
'-x,y,-z+1/2'
'x,-y,z+1/2'
loop_
_atom_site_label
_atom_site_type_symbol
_atom_site_fract_x
_atom_site_fract_y
_atom_site_fract_z
K1 K 0.000 0.033 0.250
Rb1 Rb 0.500 0.277 0.750
P1 P 0.000 0.500 0.000
S1 S 0.247 0.259 0.031
```



Calculated X-ray diffraction stick pattern of Rb3TmS3O12 for Cu Kα, from a crystal structure in Alexandria, relaxed with GGA-PBE.
Lines closer than 0.1° are merged.

Main lines, in order of rising 2θ (5 to 70 degrees two-theta):
index, 2θ/deg, intensity
1 1 0, 11.50, 35
2 0 0, 19.96, 28
1 3 1, 25.82, 100
3 1 -2, 25.96, 47
2 2 1, 30.66, 37
1 5 0, 30.75, 60
1 1 -4, 42.18, 21
3 3 1, 42.29, 22

Structure:
```
data_Rb3TmS3O12
_cell_length_a 10.845
_cell_length_b 15.403
_cell_length_c 9.441
_cell_angle_alpha 90.00
_cell_angle_beta 124.99
_cell_angle_gamma 90.00
_space_group_name_H-M_alt 'C 1 c 1'
_space_group_IT_number 9
loop_
_space_group_symop_operation_xyz
'x,y,z'
'x,-y,z+1/2'
'x+1/2,y+1/2,z'
'x+1/2,-y+1/2,z+1/2'
loop_
_atom_site_label
_atom_site_type_symbol
_atom_site_fract_x
_atom_site_fract_y
_atom_site_fract_z
Rb1 Rb 0.000 0.003 0.000
Rb2 Rb 0.198 0.315 0.668
Rb3 Rb 0.396 0.270 0.264
Tm1 Tm 0.452 0.091 0.648
S1 S 0.104 0.192 0.287
S2 S 0.130 0.443 0.000
S3 S 0.282 0.105 0.884
O1 O 0.062 0.286 0.289
O2 O 0.102 0.470 0.416
O3 O 0.110 0.178 0.137
O4 O 0.119 0.110 0.808
O5 O 0.187 0.455 0.186
O6 O 0.237 0.394 0.981
O7 O 0.258 0.181 0.452
O8 O 0.299 0.084 0.740
O9 O 0.349 0.031 0.012
O10 O 0.362 0.186 0.970
O11 O 0.485 0.106 0.424
O12 O 0.496 0.366 0.785
```



Calculated X-ray diffraction stick pattern of Sm2CdBi4 for Cu Kα, from a crystal structure in Alexandria, relaxed with GGA-PBE.
Lines closer than 0.1° are merged.

Main lines, in order of rising 2θ (5 to 70 degrees two-theta):
index, 2θ/deg, intensity
0 0 3, 25.47, 16
1 0 2, 25.85, 19
1 1 1, 28.90, 23
1 1 2, 32.53, 100
2 0 0, 39.41, 38
1 0 5, 47.71, 15
2 2 0, 56.96, 13
3 1 2, 67.15, 25

Structure:
```
data_Sm2CdBi4
_cell_length_a 4.572
_cell_length_b 4.572
_cell_length_c 10.493
_cell_angle_alpha 90.00
_cell_angle_beta 90.00
_cell_angle_gamma 90.00
_space_group_name_H-M_alt 'P -4 m 2'
_space_group_IT_number 115
loop_
_space_group_symop_operation_xyz
'x,y,z'
'y,-x,-z'
'-x,-y,z'
'-y,x,-z'
'-x,y,z'
'-y,-x,-z'
'x,-y,z'
'y,x,-z'
loop_
_atom_site_label
_atom_site_type_symbol
_atom_site_fract_x
_atom_site_fract_y
_atom_site_fract_z
Sm1 Sm 0.000 0.500 0.243
Cd1 Cd 0.000 0.000 0.500
Bi1 Bi 0.000 0.000 0.000
Bi2 Bi 0.000 0.500 0.682
Bi3 Bi 0.500 0.500 0.000
```



Q: What is the formula in the eighth record?
A: Sm2CdBi4